# 1
# KCaHfSbO6
Computed X-ray diffraction stick pattern, copper Kα. Input: DFT lattice parameters and positions (GGA-PBE).

Largest 10 diffraction maxima, low angle first, 2θ = 10–90°:
- 4.055 Å, rel. 61
- 2.868 Å, rel. 100
- 2.028 Å, rel. 34
- 1.814 Å, rel. 27
- 1.656 Å, rel. 39
- 1.434 Å, rel. 20
- 1.352 Å, rel. 13
- 1.282 Å, rel. 17
- 1.171 Å, rel. 7
- 1.125 Å, rel. 6

Atomic structure:
```
10
Lattice="0.0000 4.0555 4.0555 4.0555 0.0000 4.0555 4.0555 4.0555 0.0000" Properties=species:S:1:pos:R:3 pbc="T T T"
K 0.0000 0.0000 0.0000
Ca 4.0555 4.0555 4.0555
Hf 6.0832 6.0832 6.0832
Sb 2.0277 2.0277 2.0277
O 2.0277 2.0277 0.0354
O 2.0277 0.0354 2.0277
O 4.0201 2.0277 2.0277
O 0.0354 2.0277 2.0277
O 2.0277 4.0201 2.0277
O 2.0277 2.0277 4.0201
```

# 2
# CaHfMg6
Computed X-ray diffraction stick pattern, copper Kα. Input: DFT lattice parameters and positions (GGA-PBE).

Largest 10 diffraction maxima, low angle first, 2θ = 10–90°:
- 5.751 Å, rel. 67
- 5.472 Å, rel. 26
- 5.132 Å, rel. 21
- 3.829 Å, rel. 58
- 3.743 Å, rel. 31
- 2.736 Å, rel. 22
- 2.722 Å, rel. 22
- 2.566 Å, rel. 30
- 2.509 Å, rel. 100
- 2.414 Å, rel. 25

Atomic structure:
```
16
Lattice="5.1320 0.0000 0.0000 0.0000 6.7594 0.0000 0.0000 0.0000 10.9445" Properties=species:S:1:pos:R:3 pbc="T T T"
Ca 0.0000 0.0000 0.0000
Ca 0.0000 3.3797 5.4723
Hf 2.5660 0.0000 7.7020
Hf 2.5660 3.3797 2.2297
Mg 0.0000 0.0000 5.7347
Mg 0.0000 1.6527 2.8158
Mg 0.0000 1.7270 8.2881
Mg 0.0000 3.3797 0.2624
Mg 0.0000 5.0325 8.2881
Mg 0.0000 5.1067 2.8158
Mg 2.5660 0.0000 2.1329
Mg 2.5660 1.5545 4.8888
Mg 2.5660 1.8252 10.3610
Mg 2.5660 3.3797 7.6051
Mg 2.5660 4.9342 10.3610
Mg 2.5660 5.2050 4.8888
```

# 3
# CaHfMg6
Computed X-ray diffraction stick pattern, copper Kα. Input: DFT lattice parameters and positions (GGA-PBE).

Largest 10 diffraction maxima, low angle first, 2θ = 10–90°:
- 6.430 Å, rel. 60
- 4.667 Å, rel. 21
- 4.546 Å, rel. 40
- 3.777 Å, rel. 27
- 3.257 Å, rel. 34
- 2.648 Å, rel. 100
- 2.448 Å, rel. 24
- 2.273 Å, rel. 32
- 1.628 Å, rel. 22
- 1.374 Å, rel. 24

Atomic structure:
```
8
Lattice="6.4296 0.0000 0.0000 0.0000 6.4296 0.0000 0.0000 0.0000 4.6675" Properties=species:S:1:pos:R:3 pbc="T T T"
Ca 0.0000 0.0000 0.0000
Hf 3.2148 3.2148 0.0000
Mg 0.0000 3.2148 0.0000
Mg 1.6979 1.6979 2.3337
Mg 1.6979 4.7317 2.3337
Mg 3.2148 0.0000 0.0000
Mg 4.7317 1.6979 2.3337
Mg 4.7317 4.7317 2.3337
```

# 4
# CaHfMg6O8
Computed X-ray diffraction stick pattern, copper Kα. Input: DFT lattice parameters and positions (GGA-PBE).

Largest 10 diffraction maxima, low angle first, 2θ = 10–90°:
- 4.446 Å, rel. 36
- 4.411 Å, rel. 42
- 3.952 Å, rel. 68
- 3.131 Å, rel. 37
- 2.943 Å, rel. 52
- 2.553 Å, rel. 70
- 2.223 Å, rel. 49
- 2.206 Å, rel. 100
- 1.566 Å, rel. 59
- 1.560 Å, rel. 30

Atomic structure:
```
16
Lattice="4.4111 0.0000 0.0000 0.0000 4.4111 0.0000 0.0000 0.0000 8.8922" Properties=species:S:1:pos:R:3 pbc="T T T"
Ca 0.0000 0.0000 0.0000
Hf 2.2055 2.2055 0.0000
Mg 0.0000 0.0000 4.4461
Mg 0.0000 2.2055 2.3459
Mg 0.0000 2.2055 6.5463
Mg 2.2055 0.0000 2.3459
Mg 2.2055 0.0000 6.5463
Mg 2.2055 2.2055 4.4461
O 0.0000 0.0000 2.3768
O 0.0000 0.0000 6.5154
O 0.0000 2.2055 0.0000
O 0.0000 2.2055 4.4461
O 2.2055 0.0000 0.0000
O 2.2055 0.0000 4.4461
O 2.2055 2.2055 2.2878
O 2.2055 2.2055 6.6044
```

# 5
# CaHfMg6O8
Computed X-ray diffraction stick pattern, copper Kα. Input: DFT lattice parameters and positions (GGA-PBE).

Largest 10 diffraction maxima, low angle first, 2θ = 10–90°:
- 4.459 Å, rel. 100
- 3.986 Å, rel. 66
- 3.153 Å, rel. 85
- 2.970 Å, rel. 33
- 2.575 Å, rel. 68
- 2.237 Å, rel. 49
- 2.226 Å, rel. 98
- 1.992 Å, rel. 31
- 1.578 Å, rel. 60
- 1.574 Å, rel. 30

Atomic structure:
```
16
Lattice="4.4520 0.0000 0.0000 0.0000 4.4520 0.0000 0.0000 0.0000 8.9484" Properties=species:S:1:pos:R:3 pbc="T T T"
Ca 0.0000 0.0000 0.0000
Hf 0.0000 0.0000 4.4742
Mg 0.0000 2.2260 2.1983
Mg 0.0000 2.2260 6.7501
Mg 2.2260 0.0000 2.1983
Mg 2.2260 0.0000 6.7501
Mg 2.2260 2.2260 0.0000
Mg 2.2260 2.2260 4.4742
O 0.0000 0.0000 2.3077
O 0.0000 0.0000 6.6407
O 0.0000 2.2260 0.0000
O 0.0000 2.2260 4.4742
O 2.2260 0.0000 0.0000
O 2.2260 0.0000 4.4742
O 2.2260 2.2260 2.2103
O 2.2260 2.2260 6.7381
```

# 6
# Ca7HfN6
Computed X-ray diffraction stick pattern, copper Kα. Input: DFT lattice parameters and positions (GGA-PBE).

Largest 10 diffraction maxima, low angle first, 2θ = 10–90°:
- 6.523 Å, rel. 29
- 5.614 Å, rel. 49
- 4.368 Å, rel. 44
- 4.255 Å, rel. 80
- 2.941 Å, rel. 31
- 2.869 Å, rel. 38
- 2.852 Å, rel. 100
- 2.578 Å, rel. 62
- 2.053 Å, rel. 31
- 1.719 Å, rel. 26

Atomic structure:
```
28
Lattice="-3.1942 5.8811 6.5225 3.1942 -5.8811 6.5225 3.1942 5.8811 -6.5225" Properties=species:S:1:pos:R:3 pbc="T T T"
Ca 1.4053 0.4950 0.0000
Ca 3.9326 2.6765 -1.5880
Ca 3.9326 -2.6765 4.9345
Ca 0.0000 0.0000 3.2613
Ca 3.9326 2.6765 1.5880
Ca 0.7384 3.2046 1.5880
Ca 1.4053 -0.4950 6.5225
Ca 1.7889 6.3761 0.0000
Ca 2.4558 2.6765 4.9345
Ca -0.7384 3.2045 4.9345
Ca 0.0000 0.0000 9.7838
Ca -0.7384 8.5576 1.5880
Ca -0.7384 3.2045 8.1105
Ca 1.7889 5.3861 6.5225
Hf 3.1942 0.0000 3.2613
Hf 0.0000 5.8811 3.2613
N 4.4577 -1.2652 2.2370
N 2.4353 -4.0323 6.5225
N 1.9307 -1.2652 4.2855
N 1.9307 1.2652 2.2370
N 2.4353 4.0323 0.0000
N 1.2635 7.1463 -2.2370
N 1.9307 -1.2652 8.7596
N 0.7588 1.8488 6.5225
N 1.2635 4.6159 4.2855
N 1.2635 7.1463 2.2370
N 0.7588 9.9133 0.0000
N -1.2635 7.1463 4.2855
```